For HoB6O12, a GGA-PBE-relaxed structure gives the simulated X-ray diffraction stick pattern in this record (Cu Kα (weighted mean of Kα1 and Kα2)).

Cell and atoms:
```
data_HoB6O12
_cell_length_a 8.499
_cell_length_b 8.499
_cell_length_c 8.499
_cell_angle_alpha 59.91
_cell_angle_beta 59.91
_cell_angle_gamma 59.91
_symmetry_space_group_name_H-M 'P 1'
_symmetry_Int_Tables_number 1
loop_
_symmetry_equiv_pos_as_xyz
'x,y,z'
loop_
_atom_site_label
_atom_site_fract_x
_atom_site_fract_y
_atom_site_fract_z
Ho1 0.000 0.000 0.000
Ho2 0.500 0.500 0.500
B1 0.089 0.372 0.786
B2 0.116 0.894 0.384
B3 0.286 0.872 0.589
B4 0.372 0.786 0.089
B5 0.384 0.116 0.894
B6 0.394 0.616 0.884
B7 0.589 0.286 0.872
B8 0.616 0.884 0.394
B9 0.786 0.089 0.372
B10 0.872 0.589 0.286
B11 0.884 0.394 0.616
B12 0.894 0.384 0.116
O1 0.108 0.992 0.690
O2 0.169 0.858 0.219
O3 0.190 0.492 0.608
O4 0.219 0.169 0.858
O5 0.261 0.829 0.454
O6 0.329 0.761 0.954
O7 0.358 0.669 0.719
O8 0.429 0.966 0.492
O9 0.454 0.261 0.829
O10 0.466 0.929 0.992
O11 0.492 0.429 0.966
O12 0.492 0.608 0.190
O13 0.608 0.190 0.492
O14 0.669 0.719 0.358
O15 0.690 0.108 0.992
O16 0.719 0.358 0.669
O17 0.761 0.954 0.329
O18 0.829 0.454 0.261
O19 0.858 0.219 0.169
O20 0.929 0.992 0.466
O21 0.954 0.329 0.761
O22 0.966 0.492 0.429
O23 0.992 0.466 0.929
O24 0.992 0.690 0.108
```

Largest 10 diffraction maxima, by angle, 2θ = 15–90°:
20.9 deg, intensity 97; 25.7 deg, intensity 84; 29.8 deg, intensity 58; 33.4 deg, intensity 100; 36.7 deg, intensity 100; 42.6 deg, intensity 46; 45.3 deg, intensity 86; 47.9 deg, intensity 54; 50.4 deg, intensity 48; 57.4 deg, intensity 40

---

For Ho2B6Os, a GGA-PBE-relaxed structure gives the simulated X-ray diffraction stick pattern in this record (Cu Kα (weighted mean of Kα1 and Kα2)).

Cell and atoms:
```
data_Ho2B6Os
_cell_length_a 9.134
_cell_length_b 11.513
_cell_length_c 3.650
_cell_angle_alpha 90.00
_cell_angle_beta 90.00
_cell_angle_gamma 90.00
_symmetry_space_group_name_H-M 'P 1'
_symmetry_Int_Tables_number 1
loop_
_symmetry_equiv_pos_as_xyz
'x,y,z'
loop_
_atom_site_label
_atom_site_fract_x
_atom_site_fract_y
_atom_site_fract_z
Ho1 0.055 0.127 0.000
Ho2 0.178 0.414 0.000
Ho3 0.322 0.914 0.000
Ho4 0.445 0.627 0.000
Ho5 0.555 0.373 0.000
Ho6 0.678 0.086 0.000
Ho7 0.822 0.586 0.000
Ho8 0.945 0.873 0.000
B1 0.016 0.287 0.500
B2 0.054 0.567 0.500
B3 0.110 0.969 0.500
B4 0.133 0.814 0.500
B5 0.208 0.233 0.500
B6 0.248 0.579 0.500
B7 0.252 0.079 0.500
B8 0.292 0.733 0.500
B9 0.367 0.314 0.500
B10 0.390 0.469 0.500
B11 0.446 0.067 0.500
B12 0.484 0.787 0.500
B13 0.516 0.213 0.500
B14 0.554 0.933 0.500
B15 0.610 0.531 0.500
B16 0.633 0.686 0.500
B17 0.708 0.267 0.500
B18 0.748 0.921 0.500
B19 0.752 0.421 0.500
B20 0.792 0.767 0.500
B21 0.867 0.186 0.500
B22 0.890 0.031 0.500
B23 0.946 0.433 0.500
B24 0.984 0.713 0.500
Os1 0.138 0.678 0.000
Os2 0.362 0.178 0.000
Os3 0.638 0.822 0.000
Os4 0.862 0.322 0.000
```

Largest 10 diffraction maxima, by angle, 2θ = 15–90°:
24.4 deg, intensity 100; 30.4 deg, intensity 63; 31.1 deg, intensity 21; 32.6 deg, intensity 29; 33.3 deg, intensity 24; 39.3 deg, intensity 77; 39.9 deg, intensity 26; 41.1 deg, intensity 36; 41.7 deg, intensity 31; 50.0 deg, intensity 22